Record 1
The following is a simulated powder XRD pattern of KCuAgBr4. It was derived from a GGA-PBE-relaxed structure, using CuKα.
Intensities are scaled so that the largest is 100.

Most intense lines, 15 to 90 degrees two-theta, by intensity:
2θ (°), Rel. int.
21.71, 100
33.75, 97
44.26, 86
26.68, 84
46.41, 69
38.08, 46
56.79, 39
52.43, 36
81.46, 26
74.70, 25
59.78, 24
83.00, 19

Cell lengths 8.186, 8.186, 8.186 Å; angles 60.00, 60.00, 60.00 degrees
Element x y z (fractional)
K: 0.000 0.000 0.000
Cu: 0.500 0.500 0.500
Ag: 0.750 0.750 0.750
Br: 0.142 0.619 0.619
Br: 0.619 0.142 0.619
Br: 0.619 0.619 0.142
Br: 0.619 0.619 0.619

Record 2
The following is a simulated powder XRD pattern of NaCuAg2Br4. It was derived from a GGA-PBE-relaxed structure, using CuKα.
Intensities are scaled so that the largest is 100.

Most intense lines, 15 to 90 degrees two-theta, by intensity:
2θ (°), Rel. int.
23.15, 100
24.82, 89
41.02, 85
44.63, 83
26.32, 66
23.43, 54
48.54, 51
40.52, 46
44.78, 39
34.20, 38
26.56, 29
61.96, 26

Cell lengths 8.907, 7.592, 7.176 Å; angles 90.00, 90.00, 90.00 degrees
Element x y z (fractional)
Na: 0.000 0.159 0.000
Na: 0.500 0.841 0.500
Cu: 0.000 0.829 0.502
Cu: 0.500 0.171 0.002
Ag: 0.248 0.333 0.502
Ag: 0.252 0.667 0.002
Ag: 0.748 0.667 0.002
Ag: 0.752 0.333 0.502
Br: 0.000 0.141 0.404
Br: 0.000 0.811 0.846
Br: 0.225 0.674 0.382
Br: 0.275 0.326 0.882
Br: 0.500 0.189 0.346
Br: 0.500 0.859 0.904
Br: 0.725 0.326 0.882
Br: 0.775 0.674 0.382